1.
This entry pairs a crystal structure of RbSm2Cu3Te4Se with its theoretical X-ray powder pattern. Radiation: Cu Kα X-rays. Structure: a PBE-relaxed structure.

Crystal structure
```
data_RbSm2Cu3Te4Se
_chemical_formula_sum 'Rb4 Sm8 Cu12 Te16 Se4'
_space_group_name_H-M_alt 'C m c m'
_space_group_IT_number 63
_space_group_name_Hall '-C 2c 2'
_cell_length_a 4.356
_cell_length_b 15.486
_cell_length_c 18.063
_cell_angle_alpha 90.00
_cell_angle_beta 90.00
_cell_angle_gamma 90.00
loop_
_atom_site_label
_atom_site_type_symbol
_atom_site_fract_x
_atom_site_fract_y
_atom_site_fract_z
Rb1 Rb 0.000 0.069 0.250
Sm1 Sm 0.000 0.194 0.597
Cu1 Cu 0.000 0.335 0.250
Cu2 Cu 0.000 0.416 0.521
Te1 Te 0.000 0.159 0.073
Te2 Te 0.000 0.446 0.123
Se1 Se 0.000 0.242 0.750
```

Largest 10 diffraction maxima, in order of rising 2θ, 10 to 80 degrees two-theta:
2θ/deg, intensity
26.78, 776
27.24, 1000
28.58, 453
29.68, 412
33.44, 639
36.73, 392
37.93, 261
41.46, 534
43.75, 259
44.42, 415


2.
This entry pairs a crystal structure of RbCu3SnSe4 with its theoretical X-ray powder pattern. Radiation: Cu Kα X-rays. Structure: a PBE-relaxed structure.

Crystal structure
```
data_RbCu3SnSe4
_chemical_formula_sum 'Rb2 Cu6 Sn2 Se8'
_space_group_name_H-M_alt 'P 1 21/m 1'
_space_group_IT_number 11
_cell_length_a 5.913
_cell_length_b 7.814
_cell_length_c 10.255
_cell_angle_alpha 90.00
_cell_angle_beta 103.99
_cell_angle_gamma 90.00
loop_
_space_group_symop_operation_xyz
'x,y,z'
'-x,-y,-z'
'-x,y+1/2,-z'
'x,-y+1/2,z'
loop_
_atom_site_label
_atom_site_type_symbol
_atom_site_fract_x
_atom_site_fract_y
_atom_site_fract_z
Rb1 Rb 0.195 0.250 0.378
Cu1 Cu 0.311 0.572 0.020
Cu2 Cu 0.411 0.750 0.240
Sn1 Sn 0.127 0.250 0.783
Se1 Se 0.030 0.250 0.017
Se2 Se 0.213 0.750 0.420
Se3 Se 0.385 0.525 0.789
```

Largest 10 diffraction maxima, in order of rising 2θ, 10 to 80 degrees two-theta:
2θ/deg, intensity
14.41, 550
26.40, 347
27.62, 1000
27.86, 374
33.27, 336
41.79, 500
43.11, 414
46.46, 315
48.23, 286
50.74, 269


3.
This entry pairs a crystal structure of Rb2Tb4Cu4Se9 with its theoretical X-ray powder pattern. Radiation: Cu Kα X-rays. Structure: a PBE-relaxed structure.

Crystal structure
```
data_Rb2Tb4Cu4Se9
_chemical_formula_sum 'Rb4 Tb8 Cu8 Se18'
_space_group_name_H-M_alt 'C 1 2/m 1'
_space_group_IT_number 12
_cell_length_a 14.491
_cell_length_b 4.132
_cell_length_c 16.623
_cell_angle_alpha 90.00
_cell_angle_beta 108.97
_cell_angle_gamma 90.00
loop_
_space_group_symop_operation_xyz
'x,y,z'
'-x,-y,-z'
'-x,y,-z'
'x,-y,z'
'x+1/2,y+1/2,z'
'-x+1/2,-y+1/2,-z'
'-x+1/2,y+1/2,-z'
'x+1/2,-y+1/2,z'
loop_
_atom_site_label
_atom_site_type_symbol
_atom_site_fract_x
_atom_site_fract_y
_atom_site_fract_z
Rb1 Rb 0.031 0.000 0.271
Tb1 Tb 0.155 0.500 0.556
Tb2 Tb 0.230 0.000 0.102
Cu1 Cu 0.075 0.500 0.970
Cu2 Cu 0.245 0.000 0.730
Se1 Se 0.000 0.000 0.500
Se2 Se 0.106 0.500 0.128
Se3 Se 0.137 0.000 0.923
Se4 Se 0.151 0.500 0.724
Se5 Se 0.201 0.500 0.398
```

Largest 10 diffraction maxima, in order of rising 2θ, 10 to 80 degrees two-theta:
2θ/deg, intensity
12.92, 841
28.42, 1000
28.87, 794
29.14, 535
30.41, 480
30.92, 767
33.62, 413
37.92, 492
43.82, 803
44.51, 456


4.
This entry pairs a crystal structure of RbTb2Cu3Se5 with its theoretical X-ray powder pattern. Radiation: Cu Kα X-rays. Structure: a PBE-relaxed structure.

Crystal structure
```
data_RbTb2Cu3Se5
_chemical_formula_sum 'Rb4 Tb8 Cu12 Se20'
_space_group_name_H-M_alt 'C m c m'
_space_group_IT_number 63
_space_group_name_Hall '-C 2c 2'
_cell_length_a 4.125
_cell_length_b 14.517
_cell_length_c 17.119
_cell_angle_alpha 90.00
_cell_angle_beta 90.00
_cell_angle_gamma 90.00
loop_
_atom_site_label
_atom_site_type_symbol
_atom_site_fract_x
_atom_site_fract_y
_atom_site_fract_z
Rb1 Rb 0.000 0.061 0.250
Tb1 Tb 0.000 0.191 0.592
Cu1 Cu 0.000 0.342 0.250
Cu2 Cu 0.000 0.414 0.528
Se1 Se 0.000 0.165 0.072
Se2 Se 0.000 0.246 0.750
Se3 Se 0.000 0.442 0.117
```

Largest 10 diffraction maxima, in order of rising 2θ, 10 to 80 degrees two-theta:
2θ/deg, intensity
12.19, 435
28.43, 714
28.90, 1000
30.33, 689
31.35, 702
35.46, 769
37.90, 497
38.87, 485
43.90, 653
47.11, 606


5.
This entry pairs a crystal structure of RbTb2Cu3Te4Se with its theoretical X-ray powder pattern. Radiation: Cu Kα X-rays. Structure: a PBE-relaxed structure.

Crystal structure
```
data_RbTb2Cu3Te4Se
_chemical_formula_sum 'Rb4 Tb8 Cu12 Te16 Se4'
_space_group_name_H-M_alt 'C m c m'
_space_group_IT_number 63
_space_group_name_Hall '-C 2c 2'
_cell_length_a 4.326
_cell_length_b 15.396
_cell_length_c 17.881
_cell_angle_alpha 90.00
_cell_angle_beta 90.00
_cell_angle_gamma 90.00
loop_
_atom_site_label
_atom_site_type_symbol
_atom_site_fract_x
_atom_site_fract_y
_atom_site_fract_z
Rb1 Rb 0.000 0.069 0.250
Tb1 Tb 0.000 0.194 0.598
Cu1 Cu 0.000 0.334 0.250
Cu2 Cu 0.000 0.415 0.520
Te1 Te 0.000 0.162 0.072
Te2 Te 0.000 0.445 0.124
Se1 Se 0.000 0.245 0.750
```

Largest 10 diffraction maxima, in order of rising 2θ, 10 to 80 degrees two-theta:
2θ/deg, intensity
26.96, 766
27.44, 1000
28.78, 443
29.98, 376
33.71, 639
35.80, 279
37.09, 405
41.76, 528
44.10, 257
44.83, 392


6.
This entry pairs a crystal structure of RbCu2TeSe with its theoretical X-ray powder pattern. Radiation: Cu Kα X-rays. Structure: a PBE-relaxed structure.

Crystal structure
```
data_RbCu2TeSe
_chemical_formula_sum 'Rb2 Cu4 Te2 Se2'
_space_group_name_H-M_alt 'I 4 m m'
_space_group_IT_number 107
_space_group_name_Hall 'I 4 -2'
_cell_length_a 4.020
_cell_length_b 4.020
_cell_length_c 15.197
_cell_angle_alpha 90.00
_cell_angle_beta 90.00
_cell_angle_gamma 90.00
loop_
_atom_site_label
_atom_site_type_symbol
_atom_site_fract_x
_atom_site_fract_y
_atom_site_fract_z
Rb1 Rb 0.000 0.000 0.000
Cu1 Cu 0.000 0.500 0.225
Te1 Te 0.000 0.000 0.336
Se1 Se 0.000 0.000 0.630
```

Largest 10 diffraction maxima, in order of rising 2θ, 10 to 80 degrees two-theta:
2θ/deg, intensity
11.65, 307
28.34, 1000
31.48, 114
33.67, 249
39.60, 325
45.11, 333
48.12, 370
54.14, 319
65.70, 104
67.89, 78


7.
This entry pairs a crystal structure of RbTm2CuSe4 with its theoretical X-ray powder pattern. Radiation: Cu Kα X-rays. Structure: a PBE-relaxed structure.

Crystal structure
```
data_RbTm2CuSe4
_chemical_formula_sum 'Rb4 Tm8 Cu4 Se16'
_space_group_name_H-M_alt 'C m c m'
_space_group_IT_number 63
_space_group_name_Hall '-C 2c 2'
_cell_length_a 4.096
_cell_length_b 14.195
_cell_length_c 14.336
_cell_angle_alpha 90.00
_cell_angle_beta 90.00
_cell_angle_gamma 90.00
loop_
_atom_site_label
_atom_site_type_symbol
_atom_site_fract_x
_atom_site_fract_y
_atom_site_fract_z
Rb1 Rb 0.000 0.111 0.250
Tm1 Tm 0.000 0.366 0.064
Cu1 Cu 0.000 0.164 0.750
Se1 Se 0.000 0.000 0.000
Se2 Se 0.000 0.261 0.607
Se3 Se 0.000 0.430 0.250
```

Largest 10 diffraction maxima, in order of rising 2θ, 10 to 80 degrees two-theta:
2θ/deg, intensity
13.92, 496
22.43, 450
27.89, 272
29.51, 745
31.47, 1000
33.71, 293
38.86, 285
42.64, 281
43.15, 638
44.23, 382


8.
This entry pairs a crystal structure of Rb2ZrCu2Se4 with its theoretical X-ray powder pattern. Radiation: Cu Kα X-rays. Structure: a PBE-relaxed structure.

Crystal structure
```
data_Rb2ZrCu2Se4
_chemical_formula_sum 'Rb4 Zr2 Cu4 Se8'
_space_group_name_H-M_alt 'C 2 2 2'
_space_group_IT_number 21
_cell_length_a 5.958
_cell_length_b 13.949
_cell_length_c 5.964
_cell_angle_alpha 90.00
_cell_angle_beta 90.00
_cell_angle_gamma 90.00
loop_
_space_group_symop_operation_xyz
'x,y,z'
'-x,-y,z'
'x,-y,-z'
'-x,y,-z'
'x+1/2,y+1/2,z'
'-x+1/2,-y+1/2,z'
'x+1/2,-y+1/2,-z'
'-x+1/2,y+1/2,-z'
loop_
_atom_site_label
_atom_site_type_symbol
_atom_site_fract_x
_atom_site_fract_y
_atom_site_fract_z
Rb1 Rb 0.250 0.250 0.242
Zr1 Zr 0.000 0.000 0.500
Cu1 Cu 0.000 0.000 0.000
Cu2 Cu 0.000 0.500 0.500
Se1 Se 0.248 0.400 0.751
```

Largest 10 diffraction maxima, in order of rising 2θ, 10 to 80 degrees two-theta:
2θ/deg, intensity
12.69, 185
28.58, 1000
29.98, 130
32.67, 289
39.79, 179
42.91, 370
49.74, 397
52.38, 355
62.31, 118
70.00, 154


9.
This entry pairs a crystal structure of RbTaCu2Te4 with its theoretical X-ray powder pattern. Radiation: Cu Kα X-rays. Structure: a PBE-relaxed structure.

Crystal structure
```
data_RbTaCu2Te4
_chemical_formula_sum 'Rb4 Ta4 Cu8 Te16'
_space_group_name_H-M_alt 'P n a 21'
_space_group_IT_number 33
_cell_length_a 8.248
_cell_length_b 20.499
_cell_length_c 6.028
_cell_angle_alpha 90.00
_cell_angle_beta 90.00
_cell_angle_gamma 90.00
loop_
_space_group_symop_operation_xyz
'x,y,z'
'-x,-y,z+1/2'
'-x+1/2,y+1/2,z+1/2'
'x+1/2,-y+1/2,z'
loop_
_atom_site_label
_atom_site_type_symbol
_atom_site_fract_x
_atom_site_fract_y
_atom_site_fract_z
Rb1 Rb 0.244 0.063 0.000
Ta1 Ta 0.245 0.355 0.243
Cu1 Cu 0.004 0.751 0.754
Cu2 Cu 0.245 0.355 0.743
Te1 Te 0.006 0.143 0.495
Te2 Te 0.017 0.645 0.996
Te3 Te 0.241 0.460 0.993
Te4 Te 0.246 0.249 0.984
```

Largest 10 diffraction maxima, in order of rising 2θ, 10 to 80 degrees two-theta:
2θ/deg, intensity
13.78, 673
15.32, 241
26.29, 1000
26.55, 921
32.82, 245
41.06, 915
43.91, 308
44.18, 263
45.78, 463
51.90, 285


10.
This entry pairs a crystal structure of RbTb2Cu3Te5 with its theoretical X-ray powder pattern. Radiation: Cu Kα X-rays. Structure: a PBE-relaxed structure.

Crystal structure
```
data_RbTb2Cu3Te5
_chemical_formula_sum 'Rb4 Tb8 Cu12 Te20'
_space_group_name_H-M_alt 'C m c m'
_space_group_IT_number 63
_space_group_name_Hall '-C 2c 2'
_cell_length_a 4.390
_cell_length_b 15.420
_cell_length_c 18.268
_cell_angle_alpha 90.00
_cell_angle_beta 90.00
_cell_angle_gamma 90.00
loop_
_atom_site_label
_atom_site_type_symbol
_atom_site_fract_x
_atom_site_fract_y
_atom_site_fract_z
Rb1 Rb 0.000 0.056 0.250
Tb1 Tb 0.000 0.192 0.591
Cu1 Cu 0.000 0.338 0.250
Cu2 Cu 0.000 0.414 0.522
Te1 Te 0.000 0.161 0.074
Te2 Te 0.000 0.252 0.750
Te3 Te 0.000 0.444 0.120
```

Largest 10 diffraction maxima, in order of rising 2θ, 10 to 80 degrees two-theta:
2θ/deg, intensity
26.71, 804
27.16, 1000
28.47, 719
29.33, 668
33.25, 813
35.58, 359
36.36, 472
38.00, 371
41.13, 688
44.05, 555


11.
This entry pairs a crystal structure of Rb2ZrCu2Te4 with its theoretical X-ray powder pattern. Radiation: Cu Kα X-rays. Structure: a PBE-relaxed structure.

Crystal structure
```
data_Rb2ZrCu2Te4
_chemical_formula_sum 'Rb4 Zr2 Cu4 Te8'
_space_group_name_H-M_alt 'C 2 2 2'
_space_group_IT_number 21
_cell_length_a 6.262
_cell_length_b 14.856
_cell_length_c 6.269
_cell_angle_alpha 90.00
_cell_angle_beta 90.00
_cell_angle_gamma 90.00
loop_
_space_group_symop_operation_xyz
'x,y,z'
'-x,-y,z'
'x,-y,-z'
'-x,y,-z'
'x+1/2,y+1/2,z'
'-x+1/2,-y+1/2,z'
'x+1/2,-y+1/2,-z'
'-x+1/2,y+1/2,-z'
loop_
_atom_site_label
_atom_site_type_symbol
_atom_site_fract_x
_atom_site_fract_y
_atom_site_fract_z
Rb1 Rb 0.250 0.250 0.249
Zr1 Zr 0.000 0.000 0.500
Cu1 Cu 0.000 0.000 0.000
Cu2 Cu 0.000 0.500 0.500
Te1 Te 0.242 0.399 0.757
```

Largest 10 diffraction maxima, in order of rising 2θ, 10 to 80 degrees two-theta:
2θ/deg, intensity
11.91, 171
27.00, 1000
28.49, 199
30.98, 116
37.56, 219
40.73, 320
46.76, 332
49.55, 365
58.96, 104
78.43, 137